For UCo3, a GGA-PBE-relaxed structure gives the calculated PXRD pattern in this record (λ = 1.5418 Å (Cu Kα)).
Lines closer than 0.1° are merged.

Crystal structure
Lattice parameters (Å, degrees): 4.7947 4.7947 24.3650 90.00 90.00 120.00
Space group R-3m (No. 166, hexagonal axes)
Asymmetric unit:
U1 0.0000 0.0000 0.0000 [3 per cell]
U2 0.0000 0.0000 0.1406 [6 per cell]
Co1 0.0000 0.0000 0.3337 [6 per cell]
Co2 0.0000 0.0000 0.5000 [3 per cell]
Co3 0.0007 0.5004 0.0831 [18 per cell]

Main lines, sorted by position (10° ≤ 2θ ≤ 90°):
d [Å]  I (rel.)  index
4.093  259  1 0 1
2.667  519  1 0 7
2.456  356  0 1 8
2.397  489  1 1 0
2.066  1000  1 1 6
1.605  101  0 1 14
1.431  177  2 1 7
1.395  127  1 2 8
1.345  122  1 1 15
1.334  107  2 0 14
1.310  161  3 0 6
1.199  148  2 2 0

***

For NiSbS, a GGA-PBE-relaxed structure gives the calculated PXRD pattern in this record (λ = 1.5418 Å (Cu Kα)).
Lines closer than 0.1° are merged.

Crystal structure
Lattice parameters (Å, degrees): 5.934 5.934 5.934 90.00 90.00 90.00
Space group P2_13 (No. 198)
Asymmetric unit:
Ni1 0.020 0.020 0.020 [4 per cell]
Sb1 0.132 0.632 0.868 [4 per cell]
S1 0.119 0.881 0.381 [4 per cell]

Main lines, sorted by position (10° ≤ 2θ ≤ 90°):
d [Å]  I (rel.)  index
4.196  221  1 1 0
3.426  120  1 1 1
2.967  124  2 0 0
2.654  1000  2 1 0
2.423  566  2 1 1
1.789  477  3 1 1
1.713  113  2 2 2
1.646  163  3 0 2
1.586  302  3 1 2
1.295  178  4 2 1
1.142  123  3 3 3
1.102  202  5 0 2

***

For Ba2GdSbO6, a GGA-PBE-relaxed structure gives the calculated PXRD pattern in this record (λ = 1.5418 Å (Cu Kα)).
Lines closer than 0.1° are merged.

Crystal structure
Lattice parameters (Å, degrees): 8.577 8.577 8.577 90.00 90.00 90.00
Space group Pn-3 (No. 201, origin choice 2)
Asymmetric unit:
Ba1 0.250 0.250 0.250 [2 per cell]
Ba2 0.250 0.250 0.750 [6 per cell]
Gd1 0.000 0.000 0.000 [4 per cell]
Sb1 0.000 0.000 0.500 [4 per cell]
O1 0.008 0.235 0.508 [24 per cell]

Main lines, sorted by position (10° ≤ 2θ ≤ 90°):
d [Å]  I (rel.)  index
4.289  12  2 0 0
3.032  1000  2 2 0
2.586  7  3 1 1
2.476  10  2 2 2
2.144  292  4 0 0
1.968  5  3 3 1
1.751  407  4 2 2
1.516  182  4 4 0
1.356  181  6 2 0
1.238  60  4 4 4
1.146  216  6 4 2

***

For SnGe2O6, a GGA-PBE-relaxed structure gives the calculated PXRD pattern in this record (λ = 1.5418 Å (Cu Kα)).
Lines closer than 0.1° are merged.

Crystal structure
Lattice parameters (Å, degrees): 10.017 9.161 5.632 90.00 104.86 90.00
Space group P2_1/c (No. 14)
Asymmetric unit:
Sn1 0.249 0.145 0.493 [4 per cell]
Ge1 0.051 0.665 0.820 [4 per cell]
Ge2 0.454 0.663 0.189 [4 per cell]
O1 0.104 0.013 0.289 [4 per cell]
O2 0.112 0.713 0.131 [4 per cell]
O3 0.137 0.181 0.761 [4 per cell]
O4 0.359 0.181 0.223 [4 per cell]
O5 0.385 0.745 0.904 [4 per cell]
O6 0.407 0.021 0.683 [4 per cell]

Main lines, sorted by position (10° ≤ 2θ ≤ 90°):
d [Å]  I (rel.)  index
6.654  445  1 1 0
4.680  785  0 1 1
4.581  415  0 2 0
3.811  330  2 1 -1
3.134  1000  1 2 1
3.044  834  3 1 0
2.685  503  2 0 -2
2.663  371  0 3 1
2.598  616  3 2 -1
2.377  240  1 1 2
1.689  239  4 3 1
1.398  196  5 1 2

***

For Er2Mn3Ga, a GGA-PBE-relaxed structure gives the calculated PXRD pattern in this record (λ = 1.5418 Å (Cu Kα)).
Lines closer than 0.1° are merged.

Crystal structure
Lattice parameters (Å, degrees): 5.3684 5.3684 12.8119 90.00 90.00 120.00
Space group R-3m (No. 166, hexagonal axes)
Asymmetric unit:
Er1 0.0000 0.0000 0.1235 [6 per cell]
Mn1 0.0000 0.5000 0.0000 [9 per cell]
Ga1 0.0000 0.0000 0.5000 [3 per cell]

Main lines, sorted by position (10° ≤ 2θ ≤ 90°):
d [Å]  I (rel.)  index
4.370  233  1 0 1
2.684  762  1 1 0
2.638  588  1 0 4
2.287  436  0 2 1
2.273  1000  1 1 3
2.244  530  0 1 5
2.185  212  2 0 2
1.541  228  2 1 4
1.457  239  3 0 3
1.449  259  1 2 5
1.342  228  2 2 0
1.319  214  2 0 8

***

For Al3Si3Pb2O16, a GGA-PBE-relaxed structure gives the calculated PXRD pattern in this record (λ = 1.5418 Å (Cu Kα)).
Lines closer than 0.1° are merged.

Crystal structure
Lattice parameters (Å, degrees): 12.857 13.068 9.120 90.00 90.00 90.00
Space group Ccc2 (No. 37)
Asymmetric unit:
Al1 0.000 0.000 0.000 [4 per cell]
Al2 0.118 0.368 0.258 [8 per cell]
Si1 0.000 0.500 0.007 [4 per cell]
Si2 0.124 0.126 0.251 [8 per cell]
Pb1 0.248 0.422 0.938 [8 per cell]
O1 0.053 0.408 0.100 [8 per cell]
O2 0.063 0.094 0.102 [8 per cell]
O3 0.096 0.456 0.402 [8 per cell]
O4 0.102 0.241 0.304 [8 per cell]
O5 0.103 0.044 0.386 [8 per cell]
O6 0.166 0.249 0.848 [8 per cell]
O7 0.249 0.111 0.205 [8 per cell]
O8 0.249 0.353 0.708 [8 per cell]

Main lines, sorted by position (10° ≤ 2θ ≤ 90°):
d [Å]  I (rel.)  index
6.534  361  0 2 0
6.448  1000  2 0 0
4.564  268  0 0 2
3.759  610  1 3 1
3.739  234  0 2 2
3.719  566  2 0 2
2.897  431  3 3 1
2.885  227  4 2 0
2.627  179  4 0 2
2.447  245  1 3 3
2.435  176  4 2 2
2.153  502  5 3 1

***

For Cr11Ni40Mo9, a GGA-PBE-relaxed structure gives the calculated PXRD pattern in this record (λ = 1.5418 Å (Cu Kα)).
Lines closer than 0.1° are merged.

Crystal structure
Lattice parameters (Å, degrees): 6.243 9.183 12.584 87.45 80.19 77.46
Space group P1 (No. 1)
Asymmetric unit:
Cr1 0.000 0.000 0.000 [1 per cell]
Cr2 0.001 0.501 0.504 [1 per cell]
Cr3 0.099 0.049 0.653 [1 per cell]
Cr4 0.295 0.647 0.456 [1 per cell]
Cr5 0.388 0.192 0.606 [1 per cell]
Cr6 0.507 0.753 0.749 [1 per cell]
Cr7 0.586 0.793 0.408 [1 per cell]
Cr8 0.608 0.302 0.899 [1 per cell]
Cr9 0.795 0.398 0.203 [1 per cell]
Cr10 0.797 0.896 0.703 [1 per cell]
Cr11 0.891 0.441 0.853 [1 per cell]
Ni1 0.001 0.330 0.672 [1 per cell]
Ni2 0.001 0.832 0.171 [1 per cell]
Ni3 0.090 0.382 0.325 [1 per cell]
Ni4 0.095 0.885 0.816 [1 per cell]
Ni5 0.098 0.213 0.491 [1 per cell]
Ni6 0.099 0.716 0.984 [1 per cell]
Ni7 0.193 0.264 0.137 [1 per cell]
Ni8 0.194 0.767 0.637 [1 per cell]
Ni9 0.199 0.929 0.475 [1 per cell]
Ni10 0.202 0.431 0.967 [1 per cell]
Ni11 0.293 0.482 0.618 [1 per cell]
Ni12 0.296 0.981 0.119 [1 per cell]
Ni13 0.298 0.811 0.291 [1 per cell]
Ni14 0.302 0.312 0.782 [1 per cell]
Ni15 0.389 0.365 0.439 [1 per cell]
Ni16 0.396 0.532 0.274 [1 per cell]
Ni17 0.396 0.862 0.930 [1 per cell]
Ni18 0.400 0.028 0.764 [1 per cell]
Ni19 0.495 0.082 0.426 [1 per cell]
Ni20 0.498 0.414 0.083 [1 per cell]
Ni21 0.499 0.914 0.588 [1 per cell]
Ni22 0.502 0.580 0.917 [1 per cell]
Ni23 0.592 0.634 0.570 [1 per cell]
Ni24 0.592 0.962 0.238 [1 per cell]
Ni25 0.599 0.133 0.066 [1 per cell]
Ni26 0.600 0.464 0.736 [1 per cell]
Ni27 0.693 0.517 0.388 [1 per cell]
Ni28 0.698 0.178 0.720 [1 per cell]
Ni29 0.698 0.681 0.223 [1 per cell]
Ni30 0.700 0.014 0.882 [1 per cell]
Ni31 0.794 0.731 0.865 [1 per cell]
Ni32 0.797 0.233 0.371 [1 per cell]
Ni33 0.799 0.061 0.542 [1 per cell]
Ni34 0.800 0.561 0.033 [1 per cell]
Ni35 0.892 0.614 0.685 [1 per cell]
Ni36 0.896 0.282 0.018 [1 per cell]
Ni37 0.897 0.778 0.524 [1 per cell]
Ni38 0.898 0.114 0.182 [1 per cell]
Ni39 0.995 0.166 0.834 [1 per cell]
Ni40 0.998 0.662 0.342 [1 per cell]
Mo1 0.092 0.546 0.155 [1 per cell]
Mo2 0.196 0.097 0.306 [1 per cell]
Mo3 0.198 0.599 0.800 [1 per cell]
Mo4 0.299 0.146 0.949 [1 per cell]
Mo5 0.400 0.696 0.103 [1 per cell]
Mo6 0.500 0.251 0.253 [1 per cell]
Mo7 0.696 0.348 0.555 [1 per cell]
Mo8 0.701 0.849 0.050 [1 per cell]
Mo9 0.889 0.944 0.358 [1 per cell]

Main lines, sorted by position (10° ≤ 2θ ≤ 90°):
d [Å]  I (rel.)  index
2.080  1000  3 1 1
2.068  491  -1 3 3
2.062  484  1 0 6
1.816  320  2 -3 3
1.787  302  2 4 4
1.782  297  2 1 -5
1.274  181  0 7 1
1.273  89  4 1 7
1.270  88  0 4 -8
1.269  88  4 5 -1
1.255  85  0 3 9
1.093  111  5 -2 4

***

For CuH2O2, a GGA-PBE-relaxed structure gives the calculated PXRD pattern in this record (λ = 1.5418 Å (Cu Kα)).
Lines closer than 0.1° are merged.

Crystal structure
Lattice parameters (Å, degrees): 2.970 10.449 5.609 90.00 90.00 90.00
Space group Cmc2_1 (No. 36)
Asymmetric unit:
Cu1 0.000 0.182 0.000 [4 per cell]
H1 0.000 0.117 0.470 [4 per cell]
H2 0.000 0.481 0.672 [4 per cell]
O1 0.000 0.204 0.408 [4 per cell]
O2 0.000 0.447 0.508 [4 per cell]

Main lines, sorted by position (10° ≤ 2θ ≤ 90°):
d [Å]  I (rel.)  index
5.224  694  0 2 0
3.823  1000  0 2 1
2.804  685  0 0 2
2.545  451  1 1 1
2.471  184  0 2 2
2.368  157  0 4 1
2.260  653  1 3 0
1.760  598  1 3 2
1.709  170  1 5 0
1.635  158  1 5 1
1.564  181  1 1 3
1.459  160  1 5 2

***

For WC6N4, a GGA-PBE-relaxed structure gives the calculated PXRD pattern in this record (λ = 1.5418 Å (Cu Kα)).
Lines closer than 0.1° are merged.

Crystal structure
Lattice parameters (Å, degrees): 3.953 13.458 8.303 90.00 102.49 90.00
Space group P2_1/m (No. 11)
Asymmetric unit:
W1 0.051 0.250 0.040 [2 per cell]
C1 0.051 0.625 0.856 [4 per cell]
C2 0.144 0.750 0.195 [2 per cell]
C3 0.382 0.008 0.749 [4 per cell]
C4 0.466 0.250 0.526 [2 per cell]
N1 0.218 0.557 0.801 [4 per cell]
N2 0.342 0.750 0.338 [2 per cell]
N3 0.474 0.750 0.956 [2 per cell]

Main lines, sorted by position (10° ≤ 2θ ≤ 90°):
d [Å]  I (rel.)  index
8.107  1000  0 0 1
6.729  594  0 2 0
5.178  511  0 2 1
3.881  158  0 1 2
3.859  112  1 0 0
3.820  129  1 0 -1
3.472  311  0 2 2
3.364  188  0 4 0
3.348  162  1 2 0
3.322  363  1 2 -1
3.225  122  1 0 1
3.107  139  0 4 1